For Hg4Pb5, a crystal structure in Alexandria, relaxed with GGA-PBE gives the simulated powder diffraction line list in this record (Cu Kα).

The 8 most intense peaks (10° ≤ 2θ ≤ 90°), sorted by position:
d [Å]  2θ/deg  intensity  h k l
2.793  32.05  100  3 0 1
2.554  35.13  39  3 3 0
2.202  40.99  13  0 0 2
1.806  50.53  14  6 0 0
1.668  55.06  22  3 3 2
1.517  61.10  32  6 3 1
1.397  67.01  12  6 0 2
1.360  69.06  11  3 0 3

Crystal structure
Cell lengths 10.8376, 10.8376, 4.4038 Å; angles 90.00, 90.00, 90.00 degrees
Space group I4/mmm (No. 139)
Symmetry-distinct sites (fractional):
Hg  0.1705  0.1705  0.0000 (multiplicity 8)
Pb  0.0000  0.0000  0.5000 (multiplicity 2)
Pb  0.0000  0.3292  0.5000 (multiplicity 8)